Diffraction record for SnPd3Au3. The X-ray powder pattern is computed, not measured: it uses a structure optimized by DFT (GGA-PBE) and a wavelength of 1.5418 Å.
Peak positions follow from Bragg's law for the DFT cell and can differ from measured ones.

Most intense lines, 2θ = 5–70°, low angle first:
d (Å), 2θ/deg, I (rel.)
4.017, 22.13, 13
2.324, 38.74, 33
2.318, 38.85, 100
2.009, 45.14, 65
1.422, 65.67, 21
1.419, 65.82, 21

```
28
Lattice="2.8377 1.6384 18.5933 -2.8377 1.6384 18.5933 0.0000 -3.2767 18.5933" Properties=species:S:1:pos:R:3 pbc="T T T"
Sn 0.0000 0.0000 3.4112
Sn 0.0000 0.0000 17.3654
Sn 0.0000 0.0000 38.4145
Sn 0.0000 0.0000 52.3688
Pd -1.4046 -0.8109 22.1183
Pd 0.0000 -1.6277 19.7477
Pd -1.4096 0.8138 19.7477
Pd -1.4096 -0.8138 36.0323
Pd 0.0000 -1.6219 33.6616
Pd -1.4046 0.8109 33.6616
Pd 1.4046 -0.8109 22.1183
Pd 0.0000 1.6219 22.1183
Pd 1.4096 0.8138 19.7477
Pd 1.4096 -0.8138 36.0323
Pd 0.0000 1.6277 36.0323
Pd 1.4046 0.8109 33.6617
Au 0.0000 -1.6109 12.7223
Au -1.3951 0.8054 12.7223
Au -1.4222 -0.8211 29.0288
Au 0.0000 -1.6422 26.7512
Au -1.4222 0.8211 26.7512
Au -1.3951 -0.8054 43.0577
Au 1.3951 0.8054 12.7222
Au 1.4222 -0.8211 29.0287
Au 0.0000 1.6422 29.0287
Au 1.4222 0.8211 26.7512
Au 1.3951 -0.8054 43.0577
Au 0.0000 1.6109 43.0577
```

***

Diffraction record for RbHfAs. The X-ray powder pattern is computed, not measured: it uses a structure optimized by DFT (GGA-PBE) and a wavelength of 1.5418 Å.
Peak positions follow from Bragg's law for the DFT cell and can differ from measured ones.

Most intense lines, 2θ = 5–70°, low angle first:
d (Å), 2θ/deg, I (rel.)
4.047, 21.96, 29
3.505, 25.41, 37
2.478, 36.25, 100
2.114, 42.78, 15
1.753, 52.19, 18
1.431, 65.20, 36

```
12
Lattice="7.0100 0.0000 0.0000 0.0000 7.0100 0.0000 0.0000 0.0000 7.0100" Properties=species:S:1:pos:R:3 pbc="T T T"
Rb 0.0000 0.0000 0.0000
Rb 0.0000 3.5050 3.5050
Rb 3.5050 0.0000 3.5050
Rb 3.5050 3.5050 0.0000
Hf 0.0000 0.0000 3.5050
Hf 0.0000 3.5050 0.0000
Hf 3.5050 0.0000 0.0000
Hf 3.5050 3.5050 3.5050
As 1.7525 1.7525 5.2575
As 1.7525 5.2575 1.7525
As 5.2575 1.7525 1.7525
As 5.2575 5.2575 5.2575
```

***

Diffraction record for Hf2Al3W4N3. The X-ray powder pattern is computed, not measured: it uses a structure optimized by DFT (GGA-PBE) and a wavelength of 1.5418 Å.
Peak positions follow from Bragg's law for the DFT cell and can differ from measured ones.

Most intense lines, 2θ = 5–70°, low angle first:
d (Å), 2θ/deg, I (rel.)
6.667, 13.28, 64
2.678, 33.46, 34
2.627, 34.13, 43
2.296, 39.23, 100
2.289, 39.36, 50
1.548, 59.74, 24

```
24
Lattice="4.6298 -2.6833 0.0000 4.6298 2.6833 0.0000 -3.0395 0.0000 13.3334" Properties=species:S:1:pos:R:3 pbc="T T T"
Hf 2.3337 2.2390 8.1908
Hf 2.3666 2.2390 11.8093
Hf 3.8535 -2.2390 1.5241
Hf 3.8863 -2.2390 5.1426
Al -0.0702 0.8369 9.9927
Al 1.4496 -0.8369 3.3260
Al 3.8699 0.3358 3.3334
Al 2.3502 -0.3358 10.0001
Al 4.7705 0.8369 10.0074
Al 6.2902 -0.8369 3.3407
W 2.3875 0.4894 1.0715
W 2.3196 0.3680 5.5946
W 0.8678 -0.4894 7.7382
W 0.7999 -0.3680 12.2613
W 5.4202 0.3680 1.0721
W 5.3523 0.4894 5.5953
W 3.9004 -0.3680 7.7389
W 3.8325 -0.4894 12.2620
N 0.7951 1.3416 6.6667
N 3.9585 1.5110 0.0034
N 3.7814 1.5110 6.6633
N 2.3149 -1.3416 0.0000
N 2.4387 -1.5110 6.6701
N 2.2616 -1.5110 13.3300
```

***

Number 3 is which compound? Hf2Al3W4N3